Entry 1:
Starting from DFT lattice parameters and positions (GGA-PBE), the powder diffraction line list of PrSmHo2Th was calculated for Cu Ka.

Top 6 peaks for 2θ from 5° to 70°, low angle first:
Position (°2θ), I (rel.), h k l
29.40, 77.8, 1 2 0
31.07, 83.0, 2 1 1
31.63, 62.4, 3 0 0
31.81, 100.0, 1 2 -1
34.80, 78.2, 2 2 0
35.50, 51.6, 1 1 2

Structure:
Cell: 8.6710 6.5083 6.3716 Å, 90.00 102.06 90.00°
Space group P2/c (No. 13)
Symmetry-distinct sites (fractional):
Pr (0.0000, 0.0000, 0.0000) (multiplicity 2)
Sm (0.5000, 0.1662, 0.2500) (multiplicity 2)
Ho (0.3149, 0.3287, 0.6843) (multiplicity 4)
Th (0.0000, 0.4535, 0.2500) (multiplicity 2)



Entry 2:
Starting from DFT lattice parameters and positions (GGA-PBE), the powder diffraction line list of NdPu2Cu2Ge2 was calculated for Cu Ka.

Top 6 peaks for 2θ from 5° to 70°, low angle first:
Position (°2θ), I (rel.), h k l
9.71, 79.9, 0 0 3
25.62, 30.2, 1 0 1
34.38, 100.0, 1 0 7
44.78, 70.1, 1 1 0
57.64, 22.8, 0 2 7
61.26, 23.4, 1 1 12

Structure:
Cell: 4.0480 4.0480 27.3381 Å, 90.00 90.00 120.00°
Space group R-3m (No. 166, hexagonal axes)
Symmetry-distinct sites (fractional):
Nd (0.0000, 0.0000, 0.0000) (multiplicity 3)
Pu (0.0000, 0.0000, 0.1516) (multiplicity 6)
Cu (0.0000, 0.0000, 0.4164) (multiplicity 6)
Ge (0.0000, 0.0000, 0.2588) (multiplicity 6)



Entry 3:
Starting from DFT lattice parameters and positions (GGA-PBE), the powder diffraction line list of Ba7H12Cl2 was calculated for Cu Ka.

Top 6 peaks for 2θ from 5° to 70°, low angle first:
Position (°2θ), I (rel.), h k l
25.44, 100.0, 2 1 0
26.85, 54.2, 1 1 1
28.55, 45.5, 2 0 1
33.20, 25.4, 1 2 1
47.89, 26.3, 3 2 1
50.35, 31.0, 2 1 2

Structure:
Cell: 10.6950 10.6950 4.2369 Å, 90.00 90.00 120.00°
Space group P-6 (No. 174)
Symmetry-distinct sites (fractional):
Ba (0.0000, 0.0000, 0.0000) (multiplicity 1)
Ba (0.1183, 0.7164, 0.5000) (multiplicity 3)
Ba (0.4124, 0.1096, 0.0000) (multiplicity 3)
H (0.0493, 0.4386, 0.5000) (multiplicity 3)
H (0.1202, 0.2767, 0.0000) (multiplicity 3)
H (0.2162, 0.1099, 0.5000) (multiplicity 3)
H (0.4254, 0.3660, 0.0000) (multiplicity 3)
Cl (0.3333, 0.6667, 0.0000) (multiplicity 1)
Cl (0.6667, 0.3333, 0.5000) (multiplicity 1)



Entry 4:
Starting from DFT lattice parameters and positions (GGA-PBE), the powder diffraction line list of AcHo6Tm3 was calculated for Cu Ka.

Top 6 peaks for 2θ from 5° to 70°, low angle first:
Position (°2θ), I (rel.), h k l
28.75, 65.8, 1 1 3
31.79, 100.0, 3 0 0
41.14, 18.4, 2 1 4
43.39, 21.1, 2 2 3
54.78, 20.6, 4 1 3
56.64, 19.3, 3 3 0

Structure:
Cell: 9.7501 9.7501 12.0846 Å, 90.00 90.00 120.00°
Space group R32 (No. 155, hexagonal axes)
Symmetry-distinct sites (fractional):
Ac (0.0000, 0.0000, 0.0000) (multiplicity 3)
Ho (0.0000, 0.3501, 0.0000) (multiplicity 9)
Ho (0.0000, 0.6625, 0.5000) (multiplicity 9)
Tm (0.0000, 0.0000, 0.2614) (multiplicity 6)
Tm (0.0000, 0.0000, 0.5000) (multiplicity 3)



Entry 5:
Starting from DFT lattice parameters and positions (GGA-PBE), the powder diffraction line list of V7Ni6Pt16 was calculated for Cu Ka.

Top 6 peaks for 2θ from 5° to 70°, low angle first:
Position (°2θ), I (rel.), h k l
29.86, 50.1, 4 0 0
39.11, 9.0, 3 3 3
42.74, 100.0, 4 4 0
53.01, 12.5, 4 4 4
59.31, 5.2, 5 5 3
62.04, 14.6, 8 0 0

Structure:
Cell: 11.9678 11.9678 11.9678 Å, 90.00 90.00 90.00°
Space group Fm-3m (No. 225)
Symmetry-distinct sites (fractional):
V (0.0000, 0.0000, 0.0000) (multiplicity 4)
V (0.0000, 0.2500, 0.2500) (multiplicity 24)
Ni (0.0000, 0.0000, 0.2344) (multiplicity 24)
Pt (0.1199, 0.1199, 0.3801) (multiplicity 32)
Pt (0.1381, 0.1381, 0.1381) (multiplicity 32)



Entry 6:
Starting from DFT lattice parameters and positions (GGA-PBE), the powder diffraction line list of Sr2Ti2O5 was calculated for Cu Ka.

Top 6 peaks for 2θ from 5° to 70°, low angle first:
Position (°2θ), I (rel.), h k l
32.00, 75.9, 0 2 1
32.13, 98.4, 2 2 0
32.41, 100.0, 2 0 1
39.68, 44.5, 2 2 1
56.94, 37.6, 2 4 1
57.47, 35.9, 2 2 2

Structure:
Cell: 7.7851 7.9787 3.9219 Å, 90.00 90.00 90.00°
Space group Cmmm (No. 65)
Symmetry-distinct sites (fractional):
Sr (0.0000, 0.2447, 0.0000) (multiplicity 4)
Ti (0.2502, 0.0000, 0.5000) (multiplicity 4)
O (0.0000, 0.0000, 0.5000) (multiplicity 2)
O (0.2206, 0.5000, 0.0000) (multiplicity 4)
O (0.2500, 0.2500, 0.5000) (multiplicity 4)



Copy entry 1 word for word.
Starting from DFT lattice parameters and positions (GGA-PBE), the powder diffraction line list of PrSmHo2Th was calculated for Cu Ka.

Top 6 peaks for 2θ from 5° to 70°, low angle first:
Position (°2θ), I (rel.), h k l
29.40, 77.8, 1 2 0
31.07, 83.0, 2 1 1
31.63, 62.4, 3 0 0
31.81, 100.0, 1 2 -1
34.80, 78.2, 2 2 0
35.50, 51.6, 1 1 2

Structure:
Cell: 8.6710 6.5083 6.3716 Å, 90.00 102.06 90.00°
Space group P2/c (No. 13)
Symmetry-distinct sites (fractional):
Pr (0.0000, 0.0000, 0.0000) (multiplicity 2)
Sm (0.5000, 0.1662, 0.2500) (multiplicity 2)
Ho (0.3149, 0.3287, 0.6843) (multiplicity 4)
Th (0.0000, 0.4535, 0.2500) (multiplicity 2)